Simulated X-ray powder pattern of CaEuHfWO6 for Cu Kα (weighted mean of Kα1 and Kα2), from the PBE+U geometry in the Materials Project.
Lines closer than 0.1° are merged.

Top 8 peaks for 10 to 80 degrees two-theta, low angle first:
2θ = 18.8°, I 10
2θ = 21.7°, I 17
2θ = 30.9°, I 100
2θ = 44.2°, I 29
2θ = 49.8°, I 8
2θ = 54.9°, I 40
2θ = 64.3°, I 18
2θ = 73.0°, I 18

Crystal structure
```
CaEuHfWO6
1.0
0.000 4.096 4.096
4.096 0.000 4.096
4.096 4.096 0.000
Ca Eu Hf W O
1 1 1 1 6
Direct
0.000 0.000 0.000
0.500 0.500 0.500
0.750 0.750 0.750
0.250 0.250 0.250
0.000 0.000 0.500
0.000 0.500 0.000
0.000 0.500 0.500
0.500 0.000 0.000
0.500 0.000 0.500
0.500 0.500 0.000
```